Simulated X-ray powder pattern of La2ZrTaH for Cu Ka, from a structure optimized by DFT (GGA-PBE).
Intensities are scaled so that the largest is 100.

Structural model:
Cell lengths 5.7815, 5.7815, 5.0831 Å; angles 90.00, 90.00, 90.00 degrees
Fractional positions:
La 0.0000 0.5000 0.0000
La 0.5000 0.0000 0.0000
Zr 0.0000 0.0000 0.5000
Ta 0.0000 0.0000 0.0000
H 0.5000 0.5000 0.5000

Main lines, by angle (10° ≤ 2θ ≤ 80°):
2θ = 15.33°, I = 100, hkl 1 0 0; 2θ = 17.45°, I = 64, hkl 0 0 1; 2θ = 30.93°, I = 76, hkl 2 0 0; 2θ = 35.73°, I = 44, hkl 2 0 1; 2θ = 44.31°, I = 28, hkl 2 2 0; 2θ = 47.64°, I = 45, hkl 2 0 2

---

Simulated X-ray powder pattern of LaTbH for Cu Ka, from a structure optimized by DFT (GGA-PBE).
Intensities are scaled so that the largest is 100.

Structural model:
Cell lengths 6.8001, 5.9841, 7.6493 Å; angles 90.00, 90.00, 90.00 degrees
Fractional positions:
La 0.0975 0.2500 0.1378
La 0.4025 0.7500 0.6378
La 0.5975 0.2500 0.3622
La 0.9025 0.7500 0.8622
Tb 0.0898 0.2500 0.6158
Tb 0.4102 0.7500 0.1158
Tb 0.5898 0.2500 0.8842
Tb 0.9102 0.7500 0.3842
H 0.2307 0.7500 0.8924
H 0.2693 0.2500 0.3924
H 0.7307 0.7500 0.6076
H 0.7693 0.2500 0.1076

Main lines, by angle (10° ≤ 2θ ≤ 80°):
2θ = 26.74°, I = 31, hkl 1 0 2; 2θ = 29.86°, I = 40, hkl 0 2 0; 2θ = 30.23°, I = 65, hkl 2 1 0; 2θ = 30.70°, I = 100, hkl 1 1 2; 2θ = 46.58°, I = 22, hkl 3 0 2; 2θ = 56.30°, I = 32, hkl 3 2 2

---

Simulated X-ray powder pattern of LaTb3H8 for Cu Ka, from a structure optimized by DFT (GGA-PBE).
Intensities are scaled so that the largest is 100.

Structural model:
Cell lengths 5.3222, 5.3222, 5.3222 Å; angles 90.00, 90.00, 90.00 degrees
Fractional positions:
La 0.0000 0.0000 0.0000
Tb 0.0000 0.5000 0.5000
Tb 0.5000 0.0000 0.5000
Tb 0.5000 0.5000 0.0000
H 0.2603 0.2603 0.2603
H 0.2603 0.2603 0.7397
H 0.2603 0.7397 0.2603
H 0.2603 0.7397 0.7397
H 0.7397 0.2603 0.2603
H 0.7397 0.2603 0.7397
H 0.7397 0.7397 0.2603
H 0.7397 0.7397 0.7397

Main lines, by angle (10° ≤ 2θ ≤ 80°):
2θ = 29.06°, I = 100, hkl 1 1 1; 2θ = 33.68°, I = 49, hkl 2 0 0; 2θ = 48.37°, I = 38, hkl 2 2 0; 2θ = 57.42°, I = 44, hkl 3 1 1; 2θ = 60.24°, I = 13, hkl 2 2 2; 2θ = 78.31°, I = 18, hkl 3 3 1

---

Simulated X-ray powder pattern of La2TcH5 for Cu Ka, from a structure optimized by DFT (GGA-PBE).
Intensities are scaled so that the largest is 100.

Structural model:
Cell lengths 5.2412, 5.2412, 7.5664 Å; angles 90.00, 90.00, 90.00 degrees
Fractional positions:
La 0.0000 0.5000 0.0000
La 0.0000 0.5000 0.5000
La 0.5000 0.0000 0.0000
La 0.5000 0.0000 0.5000
Tc 0.0000 0.0000 0.2471
Tc 0.5000 0.5000 0.7471
H 0.0000 0.0000 0.0076
H 0.2427 0.2427 0.2510
H 0.2427 0.7573 0.2510
H 0.2573 0.2573 0.7510
H 0.2573 0.7427 0.7510
H 0.5000 0.5000 0.5076
H 0.7427 0.2573 0.7510
H 0.7427 0.7427 0.7510
H 0.7573 0.2427 0.2510
H 0.7573 0.7573 0.2510

Main lines, by angle (10° ≤ 2θ ≤ 80°):
2θ = 20.61°, I = 27, hkl 1 0 1; 2θ = 24.01°, I = 25, hkl 1 1 0; 2θ = 33.86°, I = 100, hkl 1 1 2; 2θ = 34.22°, I = 48, hkl 2 0 0; 2θ = 60.35°, I = 19, hkl 2 0 4; 2θ = 61.04°, I = 36, hkl 3 1 2